(1)
Structure and calculated X-ray diffraction stick pattern of SmS2 (a cell relaxed with GGA-PBE; Cu Kα).
Intensities are scaled so that the largest is 100.

Most intense lines, 2θ = 15–90°, in order of rising 2θ:
(2 0 0), 22.05°, d = 4.030 Å, I 28.0
(1 0 -2), 24.89°, d = 3.577 Å, I 100.0
(0 1 2), 31.71°, d = 2.822 Å, I 42.6
(3 0 0), 33.35°, d = 2.687 Å, I 13.5
(1 1 2), 33.65°, d = 2.663 Å, I 17.1
(2 1 -2), 38.96°, d = 2.312 Å, I 59.9
(3 1 0), 40.45°, d = 2.230 Å, I 32.0
(0 0 4), 45.46°, d = 1.995 Å, I 26.0
(1 1 4), 52.53°, d = 1.742 Å, I 18.1
(3 1 -4), 62.41°, d = 1.488 Å, I 12.4

Cell and atoms:
```
data_SmS2
_space_group_name_H-M_alt 'P 1 21/c 1'
_space_group_IT_number 14
_space_group_name_Hall '-P 2ybc'
_cell_length_a 8.0608
_cell_length_b 3.9928
_cell_length_c 7.9775
_cell_angle_alpha 90.00
_cell_angle_beta 90.15
_cell_angle_gamma 90.00
loop_
_atom_site_label
_atom_site_fract_x
_atom_site_fract_y
_atom_site_fract_z
Sm1 0.2245 0.2125 0.3713
S1 0.1322 0.7395 0.1256
S2 0.4972 0.6588 0.3906
```

***

(2)
Structure and calculated X-ray diffraction stick pattern of KIrAu (a cell relaxed with GGA-PBE; Cu Kα).
Intensities are scaled so that the largest is 100.

Most intense lines, 2θ = 15–90°, in order of rising 2θ:
(0 2 0), 15.08°, d = 5.874 Å, I 100.0
(0 4 0), 30.43°, d = 2.937 Å, I 27.1
(0 0 2), 37.35°, d = 2.408 Å, I 18.2
(2 0 1), 39.39°, d = 2.287 Å, I 25.9
(0 2 2), 40.49°, d = 2.228 Å, I 18.5
(2 2 1), 42.41°, d = 2.131 Å, I 40.6
(0 4 2), 48.91°, d = 1.862 Å, I 14.6
(2 4 1), 50.58°, d = 1.805 Å, I 21.6
(2 6 1), 62.43°, d = 1.487 Å, I 9.3
(2 2 3), 70.83°, d = 1.330 Å, I 10.8

Cell and atoms:
```
data_KIrAu
_space_group_name_H-M_alt 'C m m m'
_space_group_IT_number 65
_space_group_name_Hall '-C 2 2'
_cell_length_a 5.1984
_cell_length_b 11.7485
_cell_length_c 4.8157
_cell_angle_alpha 90.00
_cell_angle_beta 90.00
_cell_angle_gamma 90.00
loop_
_atom_site_label
_atom_site_fract_x
_atom_site_fract_y
_atom_site_fract_z
K1 0.0000 0.0000 0.0000
K2 0.0000 0.5000 0.5000
Ir1 0.2500 0.2500 0.0000
Au1 0.0000 0.2276 0.5000
```

***

(3)
Structure and calculated X-ray diffraction stick pattern of PuGeMo (a cell relaxed with GGA-PBE; Cu Kα).
Intensities are scaled so that the largest is 100.

Most intense lines, 2θ = 15–90°, in order of rising 2θ:
(1 0 1), 25.42°, d = 3.503 Å, I 27.4
(1 0 2), 32.18°, d = 2.782 Å, I 100.0
(1 1 0), 32.42°, d = 2.762 Å, I 34.8
(0 0 3), 33.93°, d = 2.642 Å, I 23.7
(1 1 1), 34.39°, d = 2.608 Å, I 81.0
(1 1 2), 39.78°, d = 2.266 Å, I 34.4
(1 0 3), 41.25°, d = 2.188 Å, I 35.5
(2 0 0), 46.50°, d = 1.953 Å, I 48.1
(1 1 4), 57.22°, d = 1.610 Å, I 21.5
(2 1 2), 57.68°, d = 1.598 Å, I 39.5

Cell and atoms:
```
data_PuGeMo
_space_group_name_H-M_alt 'P 4/n m m'
_space_group_IT_number 129
_cell_length_a 3.9057
_cell_length_b 3.9057
_cell_length_c 7.9260
_cell_angle_alpha 90.00
_cell_angle_beta 90.00
_cell_angle_gamma 90.00
loop_
_space_group_symop_operation_xyz
'x,y,z'
'-x,-y,-z'
'-y+1/2,x,z'
'y+1/2,-x,-z'
'-x+1/2,-y+1/2,z'
'x+1/2,y+1/2,-z'
'y,-x+1/2,z'
'-y,x+1/2,-z'
'x+1/2,-y,-z'
'-x+1/2,y,z'
'-y,-x,-z'
'y,x,z'
'-x,y+1/2,-z'
'x,-y+1/2,z'
'y+1/2,x+1/2,-z'
'-y+1/2,-x+1/2,z'
loop_
_atom_site_label
_atom_site_fract_x
_atom_site_fract_y
_atom_site_fract_z
Pu1 0.2500 0.2500 0.1333
Ge1 0.2500 0.2500 0.7310
Mo1 0.2500 0.7500 0.5000
```

***

(4)
Structure and calculated X-ray diffraction stick pattern of Nd6Tl2As (a cell relaxed with GGA-PBE; Cu Kα).
Intensities are scaled so that the largest is 100.

Most intense lines, 2θ = 15–90°, in order of rising 2θ:
(1 0 2), 29.80°, d = 2.998 Å, I 100.0
(0 5 1), 30.97°, d = 2.888 Å, I 48.8
(1 2 2), 32.07°, d = 2.791 Å, I 64.1
(0 3 3), 35.24°, d = 2.547 Å, I 54.4
(1 5 1), 38.16°, d = 2.359 Å, I 31.4
(2 0 0), 44.32°, d = 2.044 Å, I 19.8
(2 5 1), 55.06°, d = 1.668 Å, I 27.2
(1 8 2), 57.18°, d = 1.611 Å, I 32.9
(2 3 3), 57.84°, d = 1.594 Å, I 26.3
(1 9 1), 59.92°, d = 1.544 Å, I 15.0

Cell and atoms:
```
data_Nd6Tl2As
_space_group_name_H-M_alt 'A m m 2'
_space_group_IT_number 38
_space_group_name_Hall 'A 2 -2'
_cell_length_a 4.0879
_cell_length_b 15.2886
_cell_length_c 8.8173
_cell_angle_alpha 90.00
_cell_angle_beta 90.00
_cell_angle_gamma 90.00
loop_
_atom_site_label
_atom_site_fract_x
_atom_site_fract_y
_atom_site_fract_z
Nd1 0.0000 0.0000 0.0000
Nd2 0.0000 0.1291 0.6109
Nd3 0.5000 0.0000 0.3463
Nd4 0.5000 0.1968 0.9375
Tl1 0.0000 0.1669 0.2405
As1 0.5000 0.0000 0.7411
```

***

(5)
Structure and calculated X-ray diffraction stick pattern of YHo2H8 (a cell relaxed with GGA-PBE; Cu Kα).
Intensities are scaled so that the largest is 100.

Most intense lines, 2θ = 15–90°, in order of rising 2θ:
(0 0 2), 16.32°, d = 5.433 Å, I 3.9
(1 1 0), 30.23°, d = 2.956 Å, I 100.0
(0 2 0), 35.05°, d = 2.560 Å, I 50.0
(2 0 0), 50.41°, d = 1.810 Å, I 37.9
(2 1 3), 59.91°, d = 1.544 Å, I 43.1
(2 2 0), 62.87°, d = 1.478 Å, I 12.3
(0 4 0), 74.06°, d = 1.280 Å, I 5.9
(3 1 0), 82.03°, d = 1.175 Å, I 17.6
(3 0 3), 84.62°, d = 1.145 Å, I 10.9
(1 4 3), 84.70°, d = 1.144 Å, I 5.5

Cell and atoms:
```
data_YHo2H8
_space_group_name_H-M_alt 'I m m m'
_space_group_IT_number 71
_space_group_name_Hall '-I 2 2'
_cell_length_a 3.6224
_cell_length_b 5.1166
_cell_length_c 10.8657
_cell_angle_alpha 90.00
_cell_angle_beta 90.00
_cell_angle_gamma 90.00
loop_
_atom_site_label
_atom_site_fract_x
_atom_site_fract_y
_atom_site_fract_z
Y1 0.0000 0.0000 0.0000
Ho1 0.0000 0.0000 0.3312
H1 0.0000 0.2271 0.5000
H2 0.0000 0.2616 0.1619
H3 0.0000 0.5000 0.3411
```

***

Copy entry 5 word for word.
Structure and calculated X-ray diffraction stick pattern of YHo2H8 (a cell relaxed with GGA-PBE; Cu Kα).
Intensities are scaled so that the largest is 100.

Most intense lines, 2θ = 15–90°, in order of rising 2θ:
(0 0 2), 16.32°, d = 5.433 Å, I 3.9
(1 1 0), 30.23°, d = 2.956 Å, I 100.0
(0 2 0), 35.05°, d = 2.560 Å, I 50.0
(2 0 0), 50.41°, d = 1.810 Å, I 37.9
(2 1 3), 59.91°, d = 1.544 Å, I 43.1
(2 2 0), 62.87°, d = 1.478 Å, I 12.3
(0 4 0), 74.06°, d = 1.280 Å, I 5.9
(3 1 0), 82.03°, d = 1.175 Å, I 17.6
(3 0 3), 84.62°, d = 1.145 Å, I 10.9
(1 4 3), 84.70°, d = 1.144 Å, I 5.5

Cell and atoms:
```
data_YHo2H8
_space_group_name_H-M_alt 'I m m m'
_space_group_IT_number 71
_space_group_name_Hall '-I 2 2'
_cell_length_a 3.6224
_cell_length_b 5.1166
_cell_length_c 10.8657
_cell_angle_alpha 90.00
_cell_angle_beta 90.00
_cell_angle_gamma 90.00
loop_
_atom_site_label
_atom_site_fract_x
_atom_site_fract_y
_atom_site_fract_z
Y1 0.0000 0.0000 0.0000
Ho1 0.0000 0.0000 0.3312
H1 0.0000 0.2271 0.5000
H2 0.0000 0.2616 0.1619
H3 0.0000 0.5000 0.3411
```